Cs4BrClF2: theoretical powder XRD pattern (Cu Ka), based on a GGA-PBE-relaxed structure.

Cell and atoms:
```
data_Cs4BrClF2
_chemical_formula_sum 'Cs4 Br1 Cl1 F2'
_cell_length_a 8.056
_cell_length_b 4.627
_cell_length_c 8.332
_cell_angle_alpha 90.00
_cell_angle_beta 108.72
_cell_angle_gamma 90.00
_symmetry_space_group_name_H-M 'P 1 2/m 1'
_symmetry_Int_Tables_number 10
loop_
_symmetry_equiv_pos_as_xyz
'x,y,z'
'-x,-y,-z'
'-x,y,-z'
'x,-y,z'
loop_
_atom_site_label
_atom_site_fract_x
_atom_site_fract_y
_atom_site_fract_z
_atom_site_occupancy
Cs1 0.229 0.000 0.206 1
Cs2 0.258 0.500 0.788 1
Br1 0.500 0.500 0.500 1
Cl1 0.000 0.000 0.500 1
F1 0.000 0.500 0.000 1
F2 0.500 0.000 0.000 1
```

Largest 6 diffraction maxima, sorted by position, 10° ≤ 2θ ≤ 90°:
3.804 Å, 2θ 23.38, rel. 41, (1 1 -1); 3.324 Å, 2θ 26.82, rel. 100, (2 0 -2); 3.063 Å, 2θ 29.15, rel. 17, (2 0 1); 2.383 Å, 2θ 37.76, rel. 29, (1 1 -3); 2.323 Å, 2θ 38.77, rel. 26, (3 1 -1); 1.899 Å, 2θ 47.91, rel. 19, (2 2 -2)